Diffraction record for Sr2Li2Nb4O13. The powder XRD pattern is calculated, not measured: it uses a cell relaxed with GGA-PBE and Cu Ka.
Lines closer than 0.1° are merged.

Main lines, sorted by position (2θ = 5–70°):
- d 8.630, intensity 66.0
- d 4.315, intensity 23.9
- d 3.978, intensity 45.8
- d 3.464, intensity 74.0
- d 3.109, intensity 33.4
- d 2.832, intensity 70.7
- d 2.770, intensity 100.0
- d 2.002, intensity 60.9
- d 1.734, intensity 20.0
- d 1.623, intensity 41.4
- d 1.468, intensity 17.9
- d 1.416, intensity 17.7

Cell lengths 17.4899, 17.4899, 17.4899 Å; angles 166.85, 166.85, 18.64 degrees
Fractional positions:
Sr: 0.1165 0.1165 0.0000
Sr: 0.8835 0.8835 0.0000
Li: 0.2500 0.7500 0.5000
Li: 0.7500 0.2500 0.5000
Nb: 0.3212 0.3212 0.0000
Nb: 0.4438 0.4438 0.0000
Nb: 0.5562 0.5562 0.0000
Nb: 0.6788 0.6788 0.0000
O: 0.0624 0.5624 0.5000
O: 0.1732 0.6732 0.5000
O: 0.2662 0.2662 0.0000
O: 0.3268 0.8268 0.5000
O: 0.3831 0.3831 0.0000
O: 0.4376 0.9376 0.5000
O: 0.5000 0.5000 0.0000
O: 0.5624 0.0624 0.5000
O: 0.6169 0.6169 0.0000
O: 0.6732 0.1732 0.5000
O: 0.7338 0.7338 0.0000
O: 0.8268 0.3268 0.5000
O: 0.9376 0.4376 0.5000

---

Diffraction record for UCu2P2. The powder XRD pattern is calculated, not measured: it uses a cell relaxed with GGA-PBE and Cu Ka.
Lines closer than 0.1° are merged.

Main lines, sorted by position (2θ = 5–70°):
- d 6.350, intensity 21.4
- d 3.363, intensity 13.7
- d 2.972, intensity 100.0
- d 2.309, intensity 54.6
- d 2.117, intensity 10.1
- d 1.942, intensity 35.0
- d 1.857, intensity 6.3
- d 1.791, intensity 13.2
- d 1.626, intensity 17.2
- d 1.486, intensity 13.8
- d 1.436, intensity 10.6
- d 1.431, intensity 17.3

Cell lengths 3.8835, 3.8835, 6.3501 Å; angles 90.00, 90.00, 120.00 degrees
Fractional positions:
U: 0.0000 0.0000 0.0000
Cu: 0.3333 0.6667 0.6336
Cu: 0.6667 0.3333 0.3664
P: 0.3333 0.6667 0.2560
P: 0.6667 0.3333 0.7440

---

Diffraction record for YCuSi2Ni. The powder XRD pattern is calculated, not measured: it uses a cell relaxed with GGA-PBE and Cu Ka.
Lines closer than 0.1° are merged.

Main lines, sorted by position (2θ = 5–70°):
- d 4.905, intensity 4.9
- d 3.689, intensity 13.8
- d 2.527, intensity 35.4
- d 2.452, intensity 13.9
- d 2.442, intensity 100.0
- d 1.991, intensity 41.0
- d 1.849, intensity 8.1
- d 1.760, intensity 12.5
- d 1.564, intensity 15.5
- d 1.546, intensity 12.3
- d 1.414, intensity 15.2
- d 1.408, intensity 12.6

Cell lengths 5.6551, 5.6551, 5.6551 Å; angles 138.78, 138.78, 59.71 degrees
Fractional positions:
Y: 0.0000 0.0000 0.0000
Cu: 0.2500 0.7500 0.5000
Si: 0.3779 0.3779 0.0000
Si: 0.6221 0.6221 0.0000
Ni: 0.7500 0.2500 0.5000

---

Diffraction record for Ce2Zn3Cu7. The powder XRD pattern is calculated, not measured: it uses a cell relaxed with GGA-PBE and Cu Ka.
Lines closer than 0.1° are merged.

Main lines, sorted by position (2θ = 5–70°):
- d 3.044, intensity 77.6
- d 3.035, intensity 43.3
- d 2.577, intensity 27.5
- d 2.568, intensity 28.4
- d 2.556, intensity 27.4
- d 2.233, intensity 34.1
- d 2.222, intensity 35.2
- d 2.215, intensity 31.7
- d 2.192, intensity 100.0
- d 2.186, intensity 96.7
- d 2.179, intensity 96.8
- d 2.084, intensity 83.4

Cell lengths 5.1366, 4.1676, 8.8897 Å; angles 90.00, 90.55, 90.00 degrees
Fractional positions:
Ce: 0.2486 0.0000 0.2474
Ce: 0.7514 0.0000 0.7526
Zn: 0.2473 0.5000 0.7529
Zn: 0.5000 0.5000 0.5000
Zn: 0.7527 0.5000 0.2471
Cu: 0.0000 0.5000 0.0000
Cu: 0.0000 0.5000 0.5000
Cu: 0.2462 0.0000 0.5817
Cu: 0.2507 0.0000 0.9196
Cu: 0.5000 0.5000 0.0000
Cu: 0.7493 0.0000 0.0804
Cu: 0.7538 0.0000 0.4183

---

Diffraction record for U5B4Rh15. The powder XRD pattern is calculated, not measured: it uses a cell relaxed with GGA-PBE and Cu Ka.
Lines closer than 0.1° are merged.

Main lines, sorted by position (2θ = 5–70°):
- d 4.217, intensity 8.7
- d 4.159, intensity 3.9
- d 2.982, intensity 5.0
- d 2.961, intensity 9.5
- d 2.423, intensity 100.0
- d 2.108, intensity 35.7
- d 2.080, intensity 15.6
- d 1.886, intensity 2.4
- d 1.881, intensity 2.2
- d 1.717, intensity 4.3
- d 1.491, intensity 11.8
- d 1.481, intensity 21.1

Cell lengths 4.2167, 4.2167, 20.7953 Å; angles 90.00, 90.00, 90.00 degrees
Fractional positions:
U: 0.0000 0.0000 0.0000
U: 0.0000 0.0000 0.2035
U: 0.0000 0.0000 0.4077
U: 0.0000 0.0000 0.5923
U: 0.0000 0.0000 0.7965
B: 0.5000 0.5000 0.1032
B: 0.5000 0.5000 0.3115
B: 0.5000 0.5000 0.6885
B: 0.5000 0.5000 0.8968
Rh: 0.0000 0.5000 0.1011
Rh: 0.0000 0.5000 0.3036
Rh: 0.0000 0.5000 0.5000
Rh: 0.0000 0.5000 0.6964
Rh: 0.0000 0.5000 0.8989
Rh: 0.5000 0.0000 0.1011
Rh: 0.5000 0.0000 0.3036
Rh: 0.5000 0.0000 0.5000
Rh: 0.5000 0.0000 0.6964
Rh: 0.5000 0.0000 0.8989
Rh: 0.5000 0.5000 0.0000
Rh: 0.5000 0.5000 0.2048
Rh: 0.5000 0.5000 0.4079
Rh: 0.5000 0.5000 0.5921
Rh: 0.5000 0.5000 0.7952

---

Diffraction record for LuAs2O2. The powder XRD pattern is calculated, not measured: it uses a cell relaxed with GGA-PBE and Cu Ka.
Lines closer than 0.1° are merged.

Main lines, sorted by position (2θ = 5–70°):
- d 6.650, intensity 64.2
- d 3.954, intensity 92.3
- d 3.209, intensity 100.0
- d 2.784, intensity 33.6
- d 2.591, intensity 65.5
- d 2.414, intensity 43.4
- d 2.276, intensity 30.8
- d 2.167, intensity 51.8
- d 1.977, intensity 19.1
- d 1.933, intensity 17.1
- d 1.662, intensity 17.8
- d 1.572, intensity 25.0

Cell lengths 9.4548, 9.4548, 9.4548 Å; angles 134.39, 134.39, 66.48 degrees
Fractional positions:
Lu: 0.0000 0.0000 0.0000
Lu: 0.0000 0.0000 0.5000
Lu: 0.0000 0.5000 0.0000
Lu: 0.5000 0.0000 0.5000
As: 0.2393 0.3111 0.5717
As: 0.2393 0.6676 0.9283
As: 0.3111 0.2393 0.0717
As: 0.3324 0.7607 0.5717
As: 0.6676 0.2393 0.4283
As: 0.6889 0.7607 0.9283
As: 0.7607 0.3324 0.0717
As: 0.7607 0.6889 0.4283
O: 0.1282 0.1788 0.5506
O: 0.1282 0.5775 0.9494
O: 0.1788 0.1282 0.0506
O: 0.4225 0.8718 0.5506
O: 0.5775 0.1282 0.4494
O: 0.8212 0.8718 0.9494
O: 0.8718 0.4225 0.0506
O: 0.8718 0.8212 0.4494

---

Diffraction record for NaTe3. The powder XRD pattern is calculated, not measured: it uses a cell relaxed with GGA-PBE and Cu Ka.
Lines closer than 0.1° are merged.

Main lines, sorted by position (2θ = 5–70°):
- d 4.567, intensity 16.8
- d 4.542, intensity 14.9
- d 4.473, intensity 8.9
- d 3.220, intensity 100.0
- d 2.633, intensity 8.3
- d 2.283, intensity 33.8
- d 2.271, intensity 37.4
- d 1.863, intensity 16.9
- d 1.849, intensity 7.0
- d 1.610, intensity 10.4
- d 1.443, intensity 11.8
- d 1.437, intensity 14.8

Cell lengths 9.1336, 9.1336, 22.1902 Å; angles 90.00, 90.00, 120.00 degrees
Fractional positions:
Na: 0.0000 0.0000 0.1236
Na: 0.0000 0.0000 0.3764
Na: 0.0000 0.0000 0.6236
Na: 0.0000 0.0000 0.8764
Na: 0.3333 0.6667 0.2068
Na: 0.3333 0.6667 0.4589
Na: 0.3333 0.6667 0.7068
Na: 0.3333 0.6667 0.9589
Na: 0.6667 0.3333 0.0411
Na: 0.6667 0.3333 0.2932
Na: 0.6667 0.3333 0.5411
Na: 0.6667 0.3333 0.7932
Te: 0.0082 0.4807 0.1215
Te: 0.0082 0.5276 0.6215
Te: 0.1324 0.3376 0.2933
Te: 0.1324 0.7948 0.7933
Te: 0.1596 0.3290 0.0404
Te: 0.1596 0.8306 0.5404
Te: 0.1694 0.3290 0.5404
Te: 0.1694 0.8404 0.0404
Te: 0.2052 0.3376 0.7933
Te: 0.2052 0.8676 0.2933
Te: 0.3290 0.1596 0.4596
Te: 0.3290 0.1694 0.9596
Te: 0.3376 0.1324 0.2067
Te: 0.3376 0.2052 0.7067
Te: 0.4724 0.4807 0.6215
Te: 0.4724 0.9918 0.1215
Te: 0.4807 0.0082 0.3785
Te: 0.4807 0.4724 0.8785
Te: 0.5193 0.5276 0.1215
Te: 0.5193 0.9918 0.6215
Te: 0.5276 0.0082 0.8785
Te: 0.5276 0.5193 0.3785
Te: 0.6624 0.7948 0.2933
Te: 0.6624 0.8676 0.7933
Te: 0.6710 0.8306 0.0404
Te: 0.6710 0.8404 0.5404
Te: 0.7948 0.1324 0.7067
Te: 0.7948 0.6624 0.2067
Te: 0.8306 0.1596 0.9596
Te: 0.8306 0.6710 0.4596
Te: 0.8404 0.1694 0.4596
Te: 0.8404 0.6710 0.9596
Te: 0.8676 0.2052 0.2067
Te: 0.8676 0.6624 0.7067
Te: 0.9918 0.4724 0.3785
Te: 0.9918 0.5193 0.8785